For Li2TmCuO4, a DFT-relaxed cell (GGA-PBE, Alexandria) gives the theoretical X-ray diffraction stick pattern in this record (Cu Kα).

Most intense lines, 10° ≤ 2θ ≤ 90°, most intense first:
2θ/deg	d_spacing	Rel. int.
18.4	4.820	100
38.0	2.369	60
34.5	2.597	35
32.9	2.720	34
18.2	4.887	30
46.7	1.945	29
29.0	3.083	29
42.5	2.126	26
47.9	1.899	22
37.3	2.410	19

```
Li2TmCuO4
1.0
1.602 -5.670 0.000
1.602 5.670 0.000
0.000 0.000 9.641
Li Tm Cu O
4 2 2 8
direct
0.098 0.902 0.543 Li
0.098 0.902 0.957 Li
0.902 0.098 0.043 Li
0.902 0.098 0.457 Li
0.433 0.567 0.750 Tm
0.567 0.433 0.250 Tm
0.300 0.700 0.250 Cu
0.700 0.300 0.750 Cu
0.088 0.912 0.750 O
0.171 0.829 0.132 O
0.171 0.829 0.368 O
0.500 0.500 0.000 O
0.500 0.500 0.500 O
0.829 0.171 0.632 O
0.829 0.171 0.868 O
0.912 0.088 0.250 O
```